Entry 1:
For TbTmZnRh, DFT lattice parameters and positions (GGA-PBE) gives the computed XRD peak list in this record (Cu Ka).
Intensities are scaled so that the largest is 100.

Most intense lines, 15° ≤ 2θ ≤ 90°, most intense first:
| (hkl) | two_theta | I (rel.) |
| --- | --- | --- |
| 1 0 2 | 36.3 | 100.0 |
| 1 1 0 | 36.6 | 50.6 |
| 2 1 2 | 65.7 | 35.0 |
| 2 0 0 | 52.7 | 17.7 |
| 1 1 4 | 65.2 | 16.3 |
| 1 0 0 | 25.6 | 10.8 |
| 2 0 4 | 77.2 | 10.0 |
| 0 0 4 | 52.0 | 8.1 |

Structural model:
Cell: 3.4740 3.4740 7.0378 Å, 90.00 90.00 90.00°
Space group P4mm (No. 99)
Symmetry-distinct sites (fractional):
Tb 0.0000 0.0000 0.0000 x1
Tm 0.0000 0.0000 0.4675 x1
Zn 0.5000 0.5000 0.7256 x1
Rh 0.5000 0.5000 0.2416 x1

***

Entry 2:
For Na2Ca2Y, DFT lattice parameters and positions (GGA-PBE) gives the computed XRD peak list in this record (Cu Ka).
Intensities are scaled so that the largest is 100.

Most intense lines, 15° ≤ 2θ ≤ 90°, most intense first:
| (hkl) | two_theta | I (rel.) |
| --- | --- | --- |
| 2 0 1 | 29.0 | 100.0 |
| 3 1 0 | 29.7 | 84.8 |
| 2 1 1 | 30.6 | 61.0 |
| 2 2 0 | 26.5 | 46.8 |
| 1 1 1 | 25.8 | 35.3 |
| 5 1 1 | 54.2 | 31.3 |
| 3 1 1 | 37.3 | 28.5 |
| 3 1 2 | 54.9 | 27.7 |

Structural model:
Cell: 9.5175 9.5175 4.0277 Å, 90.00 90.00 90.00°
Space group P4/mbm (No. 127)
Symmetry-distinct sites (fractional):
Na 0.1187 0.3813 0.0000 x4
Ca 0.1849 0.6849 0.5000 x4
Y 0.0000 0.0000 0.0000 x2

***

Entry 3:
For Ca2SmPd3, DFT lattice parameters and positions (GGA-PBE) gives the computed XRD peak list in this record (Cu Ka).
Intensities are scaled so that the largest is 100.

Most intense lines, 15° ≤ 2θ ≤ 90°, most intense first:
| (hkl) | two_theta | I (rel.) |
| --- | --- | --- |
| 1 3 2 | 35.6 | 100.0 |
| 2 0 0 | 35.8 | 24.9 |
| 0 6 0 | 36.0 | 24.2 |
| 3 3 2 | 64.3 | 17.1 |
| 2 6 0 | 51.7 | 16.8 |
| 1 9 2 | 64.5 | 16.4 |
| 4 6 0 | 87.1 | 10.9 |
| 2 6 4 | 75.4 | 10.1 |

Structural model:
Cell: 5.0103 14.9489 7.1926 Å, 90.00 90.00 90.00°
Space group Cmmm (No. 65)
Symmetry-distinct sites (fractional):
Ca 0.0000 0.0000 0.0000 x2
Ca 0.0000 0.0000 0.5000 x2
Ca 0.0000 0.3330 0.0000 x4
Sm 0.0000 0.3368 0.5000 x4
Pd 0.0000 0.1710 0.2637 x8
Pd 0.0000 0.5000 0.2520 x4